Entry 1:
TlSn2Au2: calculated powder X-ray diffraction pattern (λ = 1.5418 Å (Cu Kα)), based on a crystal structure in Alexandria, relaxed with GGA-PBE.

The 10 most intense peaks (2θ = 10–80°), in order of rising 2θ:
| Position (°2θ) | I/Imax |
| --- | --- |
| 29.23 | 100 |
| 31.44 | 57 |
| 32.05 | 74 |
| 32.75 | 34 |
| 35.15 | 47 |
| 37.71 | 76 |
| 40.06 | 31 |
| 40.61 | 32 |
| 44.88 | 52 |
| 52.50 | 32 |

Atomic structure:
Cell lengths 5.1592, 4.7710, 10.7478 Å; angles 90.00, 98.24, 90.00 degrees
Space group P2_1/m (No. 11)
Unique sites:
Tl 0.2394 0.2500 0.2551 x2
Sn 0.2319 0.7500 0.4896 x2
Sn 0.3316 0.2500 0.8949 x2
Au 0.1522 0.7500 0.9913 x2
Au 0.3018 0.2500 0.6368 x2



Entry 2:
TlSn8Au6: calculated powder X-ray diffraction pattern (λ = 1.5418 Å (Cu Kα)), based on a crystal structure in Alexandria, relaxed with GGA-PBE.

The 10 most intense peaks (2θ = 10–80°), in order of rising 2θ:
| Position (°2θ) | I/Imax |
| --- | --- |
| 22.05 | 41 |
| 26.65 | 55 |
| 28.20 | 21 |
| 30.29 | 28 |
| 33.30 | 80 |
| 36.60 | 21 |
| 39.82 | 26 |
| 40.54 | 100 |
| 63.01 | 24 |
| 72.75 | 26 |

Atomic structure:
Cell lengths 10.2208, 10.2208, 4.5277 Å; angles 90.00, 90.00, 120.00 degrees
Space group P-3 (No. 147)
Unique sites:
Tl 0.0000 0.0000 0.0000 x1
Sn 0.0143 0.3449 0.2576 x6
Sn 0.3333 0.6667 0.7457 x2
Au 0.1480 0.6674 0.2433 x6



Entry 3:
TlSnAu: calculated powder X-ray diffraction pattern (λ = 1.5418 Å (Cu Kα)), based on a crystal structure in Alexandria, relaxed with GGA-PBE.

The 10 most intense peaks (2θ = 10–80°), in order of rising 2θ:
| Position (°2θ) | I/Imax |
| --- | --- |
| 26.34 | 36 |
| 27.90 | 35 |
| 28.99 | 59 |
| 29.20 | 60 |
| 33.06 | 54 |
| 34.15 | 35 |
| 37.74 | 35 |
| 37.88 | 100 |
| 40.81 | 62 |
| 54.19 | 43 |

Atomic structure:
Cell lengths 4.4224, 5.7811, 6.7530 Å; angles 90.43, 108.71, 90.09 degrees
Space group P-1 (No. 2)
Unique sites:
Tl 0.2115 0.2524 0.4191 x2
Sn 0.0811 0.7513 0.1650 x2
Au 0.5000 0.0000 0.0000 x1
Au 0.5000 0.5000 0.0000 x1